The following is a calculated X-ray diffraction stick pattern of V3Fe3C. It was derived from a PBE-relaxed structure, using λ = 1.5418 Å (Cu Kα).
Lines closer than 0.1° are merged.

```
V3Fe3C
1.0
0.0000 5.3600 5.3600
5.3600 0.0000 5.3600
5.3600 5.3600 0.0000
V Fe C
12 12 4
direct
0.0692 0.0692 0.6808 V
0.0692 0.6808 0.0692 V
0.0692 0.6808 0.6808 V
0.3192 0.3192 0.9308 V
0.3192 0.9308 0.3192 V
0.3192 0.9308 0.9308 V
0.6808 0.0692 0.0692 V
0.6808 0.0692 0.6808 V
0.6808 0.6808 0.0692 V
0.9308 0.3192 0.3192 V
0.9308 0.3192 0.9308 V
0.9308 0.9308 0.3192 V
0.0000 0.5000 0.5000 Fe
0.2952 0.2952 0.2952 Fe
0.2952 0.2952 0.6145 Fe
0.2952 0.6145 0.2952 Fe
0.3855 0.7048 0.7048 Fe
0.5000 0.0000 0.5000 Fe
0.5000 0.5000 0.0000 Fe
0.5000 0.5000 0.5000 Fe
0.6145 0.2952 0.2952 Fe
0.7048 0.3855 0.7048 Fe
0.7048 0.7048 0.3855 Fe
0.7048 0.7048 0.7048 Fe
0.0000 0.0000 0.0000 C
0.0000 0.0000 0.5000 C
0.0000 0.5000 0.0000 C
0.5000 0.0000 0.0000 C
```

The 10 most intense peaks (5 to 70 degrees two-theta), by intensity:
2θ (°)  d/Å  I/Imax
43.89  2.063  100.0
48.01  1.895  31.4
41.26  2.188  28.2
14.31  6.189  22.5
51.12  1.787  14.2
56.98  1.616  9.2
36.54  2.459  6.9
50.36  1.812  3.7
56.27  1.635  3.6
61.80  1.501  2.7

=====

The following is a calculated X-ray diffraction stick pattern of TmLuCo2. It was derived from a PBE-relaxed structure, using λ = 1.5418 Å (Cu Kα).
Lines closer than 0.1° are merged.

```
TmLuCo2
1.0
0.0000 3.2762 3.2762
3.2762 0.0000 3.2762
3.2762 3.2762 0.0000
Tm Lu Co
1 1 2
direct
0.0000 0.0000 0.0000 Tm
0.5000 0.5000 0.5000 Lu
0.2500 0.2500 0.2500 Co
0.7500 0.7500 0.7500 Co
```

The 5 most intense peaks (5 to 70 degrees two-theta), by intensity:
2θ (°)  d/Å  I/Imax
38.87  2.317  100.0
27.22  3.276  27.2
56.15  1.638  16.9
63.49  1.465  11.2
48.10  1.892  8.2

=====

The following is a calculated X-ray diffraction stick pattern of Rb2MnTe2S6. It was derived from a PBE-relaxed structure, using λ = 1.5418 Å (Cu Kα).
Lines closer than 0.1° are merged.

```
Rb2MnTe2S6
1.0
6.9984 0.0000 0.0000
-3.4992 6.0608 0.0000
0.0000 0.0000 15.5591
Rb Mn Te S
4 2 4 12
direct
0.3333 0.6667 0.2969 Rb
0.3333 0.6667 0.7969 Rb
0.6667 0.3333 0.2031 Rb
0.6667 0.3333 0.7031 Rb
0.0000 0.0000 0.0000 Mn
0.0000 0.0000 0.5000 Mn
0.3333 0.6667 0.0388 Te
0.3333 0.6667 0.5388 Te
0.6667 0.3333 0.4612 Te
0.6667 0.3333 0.9612 Te
0.1094 0.3218 0.1088 S
0.1094 0.7876 0.6088 S
0.2124 0.3218 0.6088 S
0.2124 0.8906 0.1088 S
0.3218 0.1094 0.3912 S
0.3218 0.2124 0.8912 S
0.6782 0.7876 0.1088 S
0.6782 0.8906 0.6088 S
0.7876 0.1094 0.8912 S
0.7876 0.6782 0.3912 S
0.8906 0.2124 0.3912 S
0.8906 0.6782 0.8912 S
```

The 10 most intense peaks (5 to 70 degrees two-theta), by intensity:
2θ (°)  d/Å  I/Imax
27.24  3.274  100.0
25.45  3.499  80.7
45.99  1.973  53.0
34.48  2.601  48.1
11.37  7.780  33.5
37.63  2.391  24.0
52.29  1.750  23.3
44.86  2.020  23.1
14.62  6.061  22.4
59.95  1.543  21.9

=====

The following is a calculated X-ray diffraction stick pattern of KCdF3. It was derived from a PBE-relaxed structure, using λ = 1.5418 Å (Cu Kα).
Lines closer than 0.1° are merged.

```
KCdF3
1.0
4.4713 0.0000 0.0000
0.0000 4.4713 0.0000
0.0000 0.0000 4.4713
K Cd F
1 1 3
direct
0.0000 0.0000 0.0000 K
0.5000 0.5000 0.5000 Cd
0.0000 0.5000 0.5000 F
0.5000 0.0000 0.5000 F
0.5000 0.5000 0.0000 F
```

The 9 most intense peaks (5 to 70 degrees two-theta), by intensity:
2θ (°)  d/Å  I/Imax
28.23  3.162  100.0
19.86  4.471  55.9
40.34  2.236  46.0
49.96  1.825  39.3
58.37  1.581  27.4
45.35  2.000  25.8
66.08  1.414  16.5
62.30  1.490  11.8
69.76  1.348  0.7

=====

The following is a calculated X-ray diffraction stick pattern of MgTi2Tl2P2S10. It was derived from a PBE-relaxed structure, using λ = 1.5418 Å (Cu Kα).
Lines closer than 0.1° are merged.

```
MgTi2Tl2P2S10
1.0
6.6210 0.0000 0.0000
-0.0116 7.0667 0.0000
-2.3648 -3.4525 9.2412
Mg Ti Tl P S
1 2 2 2 10
direct
0.0000 0.0000 0.0000 Mg
0.5002 0.0738 0.0014 Ti
0.5009 0.6397 0.0015 Ti
0.2875 0.6252 0.5492 Tl
0.7139 0.0728 0.4518 Tl
0.2849 0.2366 0.7373 P
0.7159 0.4947 0.2662 P
0.1654 0.5073 0.8188 S
0.1713 0.0100 0.8026 S
0.2347 0.1306 0.5223 S
0.3298 0.9207 0.1291 S
0.4049 0.4327 0.1530 S
0.5962 0.2857 0.8504 S
0.6697 0.7951 0.8726 S
0.7674 0.5944 0.4814 S
0.8287 0.2040 0.1972 S
0.8351 0.6891 0.1871 S
```

The 10 most intense peaks (5 to 70 degrees two-theta), by intensity:
2θ (°)  d/Å  I/Imax
27.10  3.291  100.0
9.57  9.241  59.7
37.91  2.373  57.8
18.41  4.818  56.7
27.82  3.207  55.4
14.73  6.015  54.0
20.14  4.408  53.8
26.94  3.310  49.3
31.73  2.820  49.1
19.21  4.621  46.5

=====

The following is a calculated X-ray diffraction stick pattern of V2H. It was derived from a PBE-relaxed structure, using λ = 1.5418 Å (Cu Kα).
Lines closer than 0.1° are merged.

```
V2H
1.0
2.2215 -1.4757 0.0000
2.2215 1.4757 0.0000
-0.5666 0.0000 4.4073
V H
2 1
direct
0.2304 0.2304 0.2684 V
0.7696 0.7696 0.7316 V
0.5000 0.5000 0.0000 H
```

The 9 most intense peaks (5 to 70 degrees two-theta), by intensity:
2θ (°)  d/Å  I/Imax
40.82  2.211  100.0
40.96  2.204  99.0
43.49  2.081  97.4
55.05  1.668  16.7
63.38  1.468  14.7
62.99  1.476  13.4
53.93  1.700  5.6
20.15  4.407  3.5
36.65  2.452  1.8

=====

The following is a calculated X-ray diffraction stick pattern of CsLiO. It was derived from a PBE-relaxed structure, using λ = 1.5418 Å (Cu Kα).
Lines closer than 0.1° are merged.

```
CsLiO
1.0
-4.9519 4.9519 3.0959
4.9519 -4.9519 3.0959
4.9519 4.9519 -3.0959
Cs Li O
4 4 4
direct
0.0000 0.3094 0.3094 Cs
0.0000 0.6906 0.6906 Cs
0.3094 0.0000 0.3094 Cs
0.6906 0.0000 0.6906 Cs
0.3648 0.3648 0.7295 Li
0.3648 0.6352 0.0000 Li
0.6352 0.3648 0.0000 Li
0.6352 0.6352 0.2705 Li
0.2417 0.5000 0.7417 O
0.5000 0.2417 0.7417 O
0.5000 0.7583 0.2583 O
0.7583 0.5000 0.2583 O
```

The 10 most intense peaks (5 to 70 degrees two-theta), by intensity:
2θ (°)  d/Å  I/Imax
30.69  2.913  100.0
24.71  3.602  95.5
25.44  3.502  75.0
12.64  7.003  61.9
28.84  3.096  49.6
38.83  2.319  46.8
51.86  1.763  33.1
48.86  1.864  29.1
38.57  2.334  29.1
16.89  5.250  25.5